Entry 1:
Starting from the PBE geometry in Alexandria, the X-ray powder pattern of Pr5Al4Ag2Ge4 was calculated for Cu Kα (λ = 1.5418 Å).

Most intense lines, 10 to 90 degrees two-theta, by intensity:
31.7 deg, intensity 100.0; 31.5 deg, intensity 48.4; 41.0 deg, intensity 39.5; 60.7 deg, intensity 24.4; 53.0 deg, intensity 22.1; 41.4 deg, intensity 20.5; 42.7 deg, intensity 19.1; 23.5 deg, intensity 14.8; 71.3 deg, intensity 13.9; 61.0 deg, intensity 12.8

Structure:
```
Pr5Al4Ag2Ge4
1.0
4.232 0.000 0.000
0.000 2.180 19.124
0.000 -2.180 19.124
Pr Al Ag Ge
5 4 2 4
Direct
0.000 0.000 0.000
0.000 0.194 0.194
0.000 0.391 0.391
0.000 0.597 0.597
0.000 0.791 0.791
0.500 0.129 0.129
0.500 0.462 0.462
0.500 0.530 0.530
0.500 0.727 0.727
0.500 0.326 0.326
0.500 0.928 0.928
0.500 0.064 0.064
0.500 0.259 0.259
0.500 0.661 0.661
0.500 0.860 0.860
```



Entry 2:
Starting from the PBE geometry in Alexandria, the X-ray powder pattern of PmGdAgAs was calculated for Cu Kα (λ = 1.5418 Å).

Most intense lines, 10 to 90 degrees two-theta, by intensity:
34.7 deg, intensity 100.0; 62.3 deg, intensity 36.1; 49.9 deg, intensity 17.7; 83.7 deg, intensity 15.8; 73.3 deg, intensity 11.1; 24.4 deg, intensity 6.2; 56.3 deg, intensity 2.8; 42.9 deg, intensity 2.0; 78.6 deg, intensity 1.4; 21.1 deg, intensity 1.3

Structure:
```
PmGdAgAs
1.0
7.306 0.000 0.000
0.000 7.306 0.000
0.000 0.000 7.306
Pm Gd Ag As
4 4 4 4
Direct
0.000 0.000 0.000
0.000 0.500 0.500
0.500 0.000 0.500
0.500 0.500 0.000
0.000 0.000 0.500
0.000 0.500 0.000
0.500 0.000 0.000
0.500 0.500 0.500
0.250 0.250 0.750
0.250 0.750 0.250
0.750 0.250 0.250
0.750 0.750 0.750
0.250 0.250 0.250
0.250 0.750 0.750
0.750 0.250 0.750
0.750 0.750 0.250
```



Entry 3:
Starting from the PBE geometry in Alexandria, the X-ray powder pattern of CsTe7Mo6 was calculated for Cu Kα (λ = 1.5418 Å).

Most intense lines, 10 to 90 degrees two-theta, by intensity:
10.3 deg, intensity 100.0; 40.4 deg, intensity 68.1; 27.0 deg, intensity 59.8; 29.5 deg, intensity 46.9; 47.1 deg, intensity 29.5; 35.9 deg, intensity 24.6; 26.2 deg, intensity 21.6; 31.4 deg, intensity 20.0; 42.4 deg, intensity 18.4; 38.4 deg, intensity 14.7

Structure:
```
CsTe7Mo6
1.0
5.239 3.025 8.528
-5.239 3.025 8.528
0.000 -6.050 8.528
Cs Te Mo
2 14 12
Direct
0.120 0.120 0.120
0.880 0.880 0.880
0.075 0.335 0.697
0.131 0.746 0.482
0.254 0.518 0.869
0.275 0.275 0.275
0.303 0.925 0.665
0.335 0.697 0.075
0.482 0.131 0.746
0.518 0.869 0.254
0.665 0.303 0.925
0.697 0.075 0.335
0.725 0.725 0.725
0.746 0.482 0.131
0.869 0.254 0.518
0.925 0.665 0.303
0.210 0.500 0.382
0.314 0.444 0.610
0.382 0.210 0.500
0.390 0.686 0.556
0.444 0.610 0.314
0.500 0.382 0.210
0.500 0.618 0.790
0.556 0.390 0.686
0.610 0.314 0.444
0.618 0.790 0.500
0.686 0.556 0.390
0.790 0.500 0.618
```



Entry 4:
Starting from the PBE geometry in Alexandria, the X-ray powder pattern of NdZn9Pd2 was calculated for Cu Kα (λ = 1.5418 Å).

Most intense lines, 10 to 90 degrees two-theta, by intensity:
37.2 deg, intensity 100.0; 37.9 deg, intensity 71.7; 44.6 deg, intensity 66.7; 33.0 deg, intensity 54.9; 46.3 deg, intensity 48.6; 39.8 deg, intensity 41.0; 68.0 deg, intensity 30.1; 43.5 deg, intensity 23.1; 58.5 deg, intensity 22.4; 47.9 deg, intensity 18.1

Structure:
```
NdZn9Pd2
1.0
-5.314 5.314 3.474
5.314 -5.314 3.474
5.314 5.314 -3.474
Nd Zn Pd
2 18 4
Direct
0.375 0.625 0.750
0.625 0.375 0.250
0.125 0.875 0.250
0.134 0.556 0.335
0.134 0.799 0.578
0.201 0.279 0.335
0.201 0.866 0.922
0.279 0.201 0.835
0.279 0.444 0.078
0.444 0.279 0.578
0.444 0.866 0.165
0.556 0.134 0.835
0.556 0.721 0.422
0.721 0.556 0.922
0.721 0.799 0.165
0.799 0.134 0.078
0.799 0.721 0.665
0.866 0.201 0.422
0.866 0.444 0.665
0.875 0.125 0.750
0.000 0.000 0.000
0.000 0.000 0.500
0.000 0.500 0.000
0.500 0.000 0.500
```



Entry 5:
Starting from the PBE geometry in Alexandria, the X-ray powder pattern of NdTh2SiN5 was calculated for Cu Kα (λ = 1.5418 Å).

Most intense lines, 10 to 90 degrees two-theta, by intensity:
30.8 deg, intensity 100.0; 33.6 deg, intensity 60.2; 43.4 deg, intensity 35.3; 15.3 deg, intensity 34.6; 29.8 deg, intensity 29.1; 24.3 deg, intensity 21.2; 59.0 deg, intensity 19.1; 42.6 deg, intensity 18.2; 60.7 deg, intensity 15.1; 54.9 deg, intensity 14.4

Structure:
```
NdTh2SiN5
1.0
6.708 0.000 0.000
0.000 6.708 0.000
0.000 0.000 5.789
Nd Th Si N
2 4 2 10
Direct
0.000 0.000 0.000
0.500 0.500 0.000
0.179 0.321 0.500
0.321 0.821 0.500
0.679 0.179 0.500
0.821 0.679 0.500
0.000 0.500 0.000
0.500 0.000 0.000
0.000 0.000 0.500
0.137 0.637 0.219
0.137 0.637 0.781
0.363 0.137 0.219
0.363 0.137 0.781
0.500 0.500 0.500
0.637 0.863 0.219
0.637 0.863 0.781
0.863 0.363 0.219
0.863 0.363 0.781
```



Entry 6:
Starting from the PBE geometry in Alexandria, the X-ray powder pattern of RbCd4In8 was calculated for Cu Kα (λ = 1.5418 Å).

Most intense lines, 10 to 90 degrees two-theta, by intensity:
33.0 deg, intensity 100.0; 38.0 deg, intensity 79.3; 34.2 deg, intensity 70.5; 32.6 deg, intensity 66.6; 36.6 deg, intensity 51.5; 36.9 deg, intensity 43.9; 28.6 deg, intensity 40.3; 59.2 deg, intensity 30.8; 58.4 deg, intensity 23.0; 55.1 deg, intensity 22.3

Structure:
```
RbCd4In8
1.0
-5.492 5.492 2.986
5.492 -5.492 2.986
5.492 5.492 -2.986
Rb Cd In
1 4 8
Direct
0.000 0.000 0.000
0.000 0.000 0.500
0.000 0.500 0.000
0.500 0.000 0.000
0.500 0.500 0.500
0.000 0.355 0.355
0.000 0.645 0.645
0.285 0.500 0.785
0.355 0.000 0.355
0.500 0.285 0.785
0.500 0.715 0.215
0.645 0.000 0.645
0.715 0.500 0.215
```